Ta2CoH2S6: simulated powder X-ray diffraction pattern (Cu Kα X-rays), based on a GGA-PBE-relaxed structure.

Lattice parameters (Å, degrees): 5.8592 10.6104 6.1332 90.00 104.88 90.00
Space group C2/m (No. 12)
Unique sites:
Ta  0.0000  0.1381  0.0000
Co  0.0000  0.5000  0.0000
H  0.0000  0.3338  0.5000
S  0.0908  0.3316  0.7772
S  0.1234  0.0000  0.7407

Peak list (10 most intense, 15 to 90 degrees two-theta, low angle first)
hkl 1 1 0, d 4.996, intensity 29; hkl 1 1 -1, d 4.334, intensity 17; hkl 2 0 -1, d 2.851, intensity 19; hkl 2 0 0, d 2.835, intensity 100; hkl 0 4 1, d 2.421, intensity 16; hkl 2 0 1, d 2.332, intensity 36; hkl 1 3 -2, d 2.268, intensity 45; hkl 1 3 2, d 1.977, intensity 41; hkl 2 0 -3, d 1.860, intensity 15; hkl 3 3 -1, d 1.707, intensity 21